# Dy2Ru2O7
Computed XRD peak list, λ = 1.5418 Å (Cu Kα). Input: a structure optimized by DFT (PBE).
Intensities are scaled so that the largest is 100.

a b c (Å): 7.2421 7.2421 7.2421
angles (deg): 60.00 60.00 60.00
Atoms (fractional coordinates):
Dy 0.0000 0.0000 0.0000
Dy 0.0000 0.0000 0.5000
Dy 0.0000 0.5000 0.0000
Dy 0.5000 0.0000 0.0000
Ru 0.0000 0.5000 0.5000
Ru 0.5000 0.0000 0.5000
Ru 0.5000 0.5000 0.0000
Ru 0.5000 0.5000 0.5000
O 0.1250 0.1250 0.1250
O 0.1623 0.1623 0.5877
O 0.1623 0.5877 0.1623
O 0.1623 0.5877 0.5877
O 0.4123 0.4123 0.8377
O 0.4123 0.8377 0.4123
O 0.4123 0.8377 0.8377
O 0.5877 0.1623 0.1623
O 0.5877 0.1623 0.5877
O 0.5877 0.5877 0.1623
O 0.8377 0.4123 0.4123
O 0.8377 0.4123 0.8377
O 0.8377 0.8377 0.4123
O 0.8750 0.8750 0.8750

Principal peaks in the range 2θ from 10° to 90°, in order of rising 2θ:
2θ/deg, intensity
15.0, 5
30.2, 100
35.0, 33
38.3, 5
50.4, 47
59.9, 43
62.9, 10
74.1, 7
82.0, 17
84.6, 14

# Sr2DyRuO6
Computed XRD peak list, λ = 1.5418 Å (Cu Kα). Input: a structure optimized by DFT (PBE).
Intensities are scaled so that the largest is 100.

a b c (Å): 5.8460 5.8539 10.0970
angles (deg): 90.00 125.11 90.00
Atoms (fractional coordinates):
Sr 0.2428 0.0316 0.2486
Sr 0.2428 0.4684 0.7486
Sr 0.7572 0.5316 0.2514
Sr 0.7572 0.9684 0.7514
Dy 0.5000 0.0000 0.0000
Dy 0.5000 0.5000 0.5000
Ru 0.0000 0.0000 0.5000
Ru 0.0000 0.5000 0.0000
O 0.1578 0.2276 0.9607
O 0.1578 0.2724 0.4607
O 0.2297 0.7007 0.9610
O 0.2297 0.7993 0.4610
O 0.3087 0.0178 0.7343
O 0.3087 0.4822 0.2343
O 0.6913 0.5178 0.7657
O 0.6913 0.9822 0.2657
O 0.7703 0.2007 0.5390
O 0.7703 0.2993 0.0390
O 0.8422 0.7276 0.5393
O 0.8422 0.7724 0.0393

Principal peaks in the range 2θ from 10° to 90°, in order of rising 2θ:
2θ/deg, intensity
21.5, 16
30.5, 100
30.6, 50
43.8, 42
54.3, 36
54.4, 23
63.6, 12
63.8, 8
72.3, 12
88.3, 13

# Dy2S2O
Computed XRD peak list, λ = 1.5418 Å (Cu Kα). Input: a structure optimized by DFT (PBE).
Intensities are scaled so that the largest is 100.

a b c (Å): 15.6355 3.8126 6.7481
angles (deg): 90.00 90.00 90.00
Atoms (fractional coordinates):
Dy 0.0406 0.2500 0.2063
Dy 0.1646 0.2500 0.7560
Dy 0.3354 0.7500 0.2560
Dy 0.4594 0.7500 0.7063
Dy 0.5406 0.2500 0.2937
Dy 0.6646 0.2500 0.7440
Dy 0.8354 0.7500 0.2440
Dy 0.9594 0.7500 0.7937
S 0.0998 0.7500 0.5133
S 0.1813 0.7500 0.0458
S 0.3187 0.2500 0.5458
S 0.4002 0.2500 0.0133
S 0.5998 0.7500 0.9867
S 0.6813 0.7500 0.4542
S 0.8187 0.2500 0.9542
S 0.9002 0.2500 0.4867
O 0.0308 0.2500 0.8685
O 0.4692 0.7500 0.3685
O 0.5308 0.2500 0.6315
O 0.9692 0.7500 0.1315

Principal peaks in the range 2θ from 10° to 90°, in order of rising 2θ:
2θ/deg, intensity
11.3, 18
26.0, 33
26.4, 100
29.2, 75
35.5, 27
37.4, 61
46.6, 17
47.7, 18
52.6, 18
55.3, 27

# Dy2S3O20
Computed XRD peak list, λ = 1.5418 Å (Cu Kα). Input: a structure optimized by DFT (PBE).
Intensities are scaled so that the largest is 100.

a b c (Å): 7.5596 7.5596 18.1730
angles (deg): 97.37 97.37 52.30
Atoms (fractional coordinates):
Dy 0.1555 0.1847 0.3928
Dy 0.1847 0.1555 0.8928
Dy 0.8153 0.8445 0.1072
Dy 0.8445 0.8153 0.6072
S 0.1951 0.2470 0.0919
S 0.2470 0.1951 0.5919
S 0.2799 0.7201 0.7500
S 0.7201 0.2799 0.2500
S 0.7530 0.8049 0.4081
S 0.8049 0.7530 0.9081
O 0.0692 0.7682 0.7124
O 0.0966 0.4446 0.5922
O 0.1020 0.8806 0.3834
O 0.1029 0.2420 0.0151
O 0.1080 0.8217 0.5548
O 0.1164 0.1850 0.1470
O 0.1194 0.8980 0.1166
O 0.1221 0.4783 0.1151
O 0.1783 0.8920 0.9452
O 0.1850 0.1164 0.6470
O 0.2318 0.9308 0.7876
O 0.2420 0.1029 0.5151
O 0.2795 0.3418 0.8117
O 0.3013 0.3864 0.4239
O 0.3418 0.2795 0.3117
O 0.3760 0.5508 0.8074
O 0.3864 0.3013 0.9239
O 0.4446 0.0966 0.0922
O 0.4492 0.6240 0.6926
O 0.4783 0.1221 0.6151
O 0.5217 0.8779 0.3849
O 0.5508 0.3760 0.3074
O 0.5554 0.9034 0.9078
O 0.6136 0.6987 0.0761
O 0.6240 0.4492 0.1926
O 0.6582 0.7205 0.6883
O 0.6987 0.6136 0.5761
O 0.7205 0.6582 0.1883
O 0.7580 0.8971 0.4849
O 0.7682 0.0692 0.2124
O 0.8150 0.8836 0.3530
O 0.8217 0.1080 0.0548
O 0.8779 0.5217 0.8849
O 0.8806 0.1020 0.8834
O 0.8836 0.8150 0.8530
O 0.8920 0.1783 0.4452
O 0.8971 0.7580 0.9849
O 0.8980 0.1194 0.6166
O 0.9034 0.5554 0.4078
O 0.9308 0.2318 0.2876

Principal peaks in the range 2θ from 10° to 90°, in order of rising 2θ:
2θ/deg, intensity
13.2, 53
14.8, 64
15.3, 100
18.4, 82
19.7, 61
23.9, 57
25.4, 35
26.8, 40
30.9, 30
36.1, 38

# Dy2S2O
Computed XRD peak list, λ = 1.5418 Å (Cu Kα). Input: a structure optimized by DFT (PBE).
Intensities are scaled so that the largest is 100.

a b c (Å): 8.2904 6.9133 6.8815
angles (deg): 90.00 99.32 90.00
Atoms (fractional coordinates):
Dy 0.0763 0.1434 0.3213
Dy 0.0763 0.3566 0.8213
Dy 0.3618 0.5538 0.2499
Dy 0.3618 0.9462 0.7499
Dy 0.6382 0.0538 0.2501
Dy 0.6382 0.4462 0.7501
Dy 0.9237 0.6434 0.1787
Dy 0.9237 0.8566 0.6787
S 0.1802 0.6344 0.5762
S 0.1802 0.8656 0.0762
S 0.4243 0.2231 0.4699
S 0.4243 0.2769 0.9699
S 0.5757 0.7231 0.0301
S 0.5757 0.7769 0.5301
S 0.8198 0.1344 0.9238
S 0.8198 0.3656 0.4238
O 0.1171 0.0872 0.6495
O 0.1171 0.4128 0.1495
O 0.8829 0.5872 0.8505
O 0.8829 0.9128 0.3505

Principal peaks in the range 2θ from 10° to 90°, in order of rising 2θ:
2θ/deg, intensity
20.2, 42
25.3, 31
26.2, 48
26.9, 61
29.0, 76
30.2, 100
38.9, 34
39.4, 30
41.7, 31
50.9, 25